(1)
Diffraction record for V3Ni13. The powder X-ray diffraction pattern is theoretical, not measured: it uses DFT lattice parameters and positions (GGA-PBE) and copper Kα.
Intensities are scaled so that the largest is 100.

Cell and atoms:
Lattice parameters (Å, degrees): 7.092 7.049 7.170 90.00 90.00 90.00
Space group Amm2 (No. 38)
Unique sites:
V1 0.000 0.000 0.000 (multiplicity 2)
V2 0.261 0.000 0.293 (multiplicity 4)
Ni1 0.000 0.000 0.531 (multiplicity 2)
Ni2 0.000 0.234 0.277 (multiplicity 4)
Ni3 0.245 0.000 0.782 (multiplicity 4)
Ni4 0.249 0.245 0.034 (multiplicity 8)
Ni5 0.500 0.000 0.037 (multiplicity 2)
Ni6 0.500 0.000 0.533 (multiplicity 2)
Ni7 0.500 0.248 0.785 (multiplicity 4)

Peak list (10 most intense, 2θ = 10–90°, in order of rising 2θ)
d [Å]  Position (°2θ)  I_rel  h k l
2.233  40.4  0.5  0 3 1
2.130  42.4  0.5  1 3 1
2.050  44.2  100.0  2 2 2
1.908  47.7  0.6  2 1 3
1.793  50.9  15.6  0 0 4
1.773  51.5  15.5  4 0 0
1.762  51.9  15.0  0 4 0
1.261  75.4  8.7  4 0 4
1.257  75.7  8.5  0 4 4
1.250  76.2  8.6  4 4 0

(2)
Diffraction record for V2Ni. The powder X-ray diffraction pattern is theoretical, not measured: it uses DFT lattice parameters and positions (GGA-PBE) and copper Kα.
Intensities are scaled so that the largest is 100.

Cell and atoms:
Lattice parameters (Å, degrees): 3.259 3.874 11.811 90.00 90.00 90.00
Space group Fmmm (No. 69)
Unique sites:
V1 0.000 0.000 0.162 (multiplicity 8)
Ni1 0.000 0.000 0.500 (multiplicity 4)

Peak list (10 most intense, 2θ = 10–90°, in order of rising 2θ)
d [Å]  Position (°2θ)  I_rel  h k l
5.906  15.0  4.6  0 0 2
2.107  42.9  100.0  1 1 3
1.969  46.1  19.7  0 0 6
1.937  46.9  19.0  0 2 0
1.630  56.5  10.4  2 0 0
1.381  67.9  11.1  0 2 6
1.255  75.8  7.9  2 0 6
1.247  76.4  7.8  2 2 0
1.161  83.2  11.8  1 1 9
1.148  84.3  11.8  1 3 3

(3)
Diffraction record for YVNi. The powder X-ray diffraction pattern is theoretical, not measured: it uses DFT lattice parameters and positions (GGA-PBE) and copper Kα.
Intensities are scaled so that the largest is 100.

Cell and atoms:
Lattice parameters (Å, degrees): 4.913 12.936 14.524 90.00 90.00 90.00
Space group Fmmm (No. 69)
Unique sites:
Y1 0.000 0.134 0.117 (multiplicity 16)
V1 0.000 0.000 0.307 (multiplicity 8)
V2 0.000 0.075 0.500 (multiplicity 8)
Ni1 0.000 0.177 0.303 (multiplicity 16)

Peak list (10 most intense, 2θ = 10–90°, in order of rising 2θ)
d [Å]  Position (°2θ)  I_rel  h k l
7.262  12.2  17.3  0 0 2
3.234  27.6  15.5  0 4 0
3.163  28.2  18.1  1 3 1
2.456  36.6  100.0  2 0 0
2.416  37.2  12.0  0 4 4
2.163  41.8  25.3  1 3 5
2.069  43.8  32.8  1 5 3
1.582  58.3  10.8  0 4 8
1.418  65.9  9.7  3 1 5
1.331  70.8  9.8  3 5 3

(4)
Diffraction record for YVNi3. The powder X-ray diffraction pattern is theoretical, not measured: it uses DFT lattice parameters and positions (GGA-PBE) and copper Kα.
Intensities are scaled so that the largest is 100.

Cell and atoms:
Lattice parameters (Å, degrees): 5.7834 5.7834 5.3876 90.00 90.00 120.00
Space group P6_3/mmc (No. 194)
Unique sites:
Y1 0.3333 0.6667 0.2500 (multiplicity 2)
V1 0.0000 0.0000 0.0000 (multiplicity 2)
Ni1 0.1945 0.3891 0.7500 (multiplicity 6)

Peak list (10 most intense, 2θ = 10–90°, in order of rising 2θ)
d [Å]  Position (°2θ)  I_rel  h k l
2.892  30.9  17.0  1 1 0
2.694  33.3  29.9  0 0 2
2.504  35.9  9.1  2 0 0
2.372  37.9  22.5  1 0 2
2.271  39.7  100.0  2 0 1
1.893  48.1  11.3  2 1 0
1.834  49.7  33.0  2 0 2
1.459  63.8  22.8  2 0 3
1.446  64.4  15.6  2 2 0
1.220  78.4  10.1  4 0 1

(5)
Diffraction record for V4ZnNi12. The powder X-ray diffraction pattern is theoretical, not measured: it uses DFT lattice parameters and positions (GGA-PBE) and copper Kα.
Intensities are scaled so that the largest is 100.

Cell and atoms:
Lattice parameters (Å, degrees): 7.410 7.410 7.410 90.00 90.00 90.00
Space group Im-3m (No. 229)
Unique sites:
V1 0.250 0.250 0.250 (multiplicity 8)
Zn1 0.000 0.000 0.000 (multiplicity 2)
Ni1 0.000 0.000 0.301 (multiplicity 12)
Ni2 0.000 0.250 0.500 (multiplicity 12)

Peak list (10 most intense, 2θ = 10–90°, in order of rising 2θ)
d [Å]  Position (°2θ)  I_rel  h k l
3.705  24.0  11.8  2 0 0
2.343  38.4  10.8  3 1 0
2.139  42.2  100.0  2 2 2
1.981  45.8  18.0  3 2 1
1.853  49.2  62.3  4 0 0
1.747  52.4  11.3  3 3 0
1.580  58.4  15.0  3 3 2
1.310  72.1  29.4  4 4 0
1.117  87.3  21.2  6 2 2
1.093  89.8  8.5  6 3 1

(6)
Diffraction record for VZnNi. The powder X-ray diffraction pattern is theoretical, not measured: it uses DFT lattice parameters and positions (GGA-PBE) and copper Kα.
Intensities are scaled so that the largest is 100.

Cell and atoms:
Lattice parameters (Å, degrees): 4.270 4.860 7.249 90.00 90.00 90.00
Space group Imma (No. 74)
Unique sites:
V1 0.000 0.000 0.000 (multiplicity 4)
Zn1 0.000 0.250 0.338 (multiplicity 4)
Ni1 0.000 0.250 0.670 (multiplicity 4)

Peak list (10 most intense, 2θ = 10–90°, in order of rising 2θ)
d [Å]  Position (°2θ)  I_rel  h k l
2.430  37.0  16.9  0 2 0
2.135  42.3  52.7  2 0 0
2.103  43.0  100.0  1 0 3
2.028  44.7  72.1  1 2 1
2.018  44.9  34.5  0 2 2
1.590  58.0  17.5  1 2 3
1.467  63.4  22.6  2 2 2
1.226  77.9  15.2  3 0 3
1.211  79.1  11.7  3 2 1
1.201  79.9  11.7  2 2 4